Record 1
Structure and theoretical X-ray diffraction stick pattern of In5Cu3 (a cell relaxed with PBE; copper Kα).
No peak broadening, texture or thermal motion is included.

Largest 8 diffraction maxima, low angle first, 2θ from 10° to 90°:
Position (°2θ)	I (rel.)	index
36.01	100	2 2 1
40.15	20	0 4 0
41.53	18	0 0 2
43.72	11	4 0 0
59.14	12	0 4 2
61.88	8	4 0 2
70.27	12	2 6 1
72.17	12	2 2 3

Crystal structure
a b c (Å): 8.2812 8.9837 4.3490
angles (deg): 90.00 90.00 90.00
Space group Cmmm (No. 65)
Inequivalent atoms, fractional coordinates:
In: 0.0000 0.0000 0.0000
In: 0.2055 0.5000 0.5000
In: 0.2500 0.2500 0.0000
Cu: 0.0000 0.2304 0.5000
Cu: 0.0000 0.5000 0.0000

Record 2
Structure and theoretical X-ray diffraction stick pattern of Pm4Sc5Tl6 (a cell relaxed with PBE; copper Kα).
No peak broadening, texture or thermal motion is included.

Largest 8 diffraction maxima, low angle first, 2θ from 10° to 90°:
Position (°2θ)	I (rel.)	index
29.49	58	1 5 0
29.96	66	1 5 1
31.35	100	0 0 6
32.30	48	1 1 4
33.50	94	1 5 3
35.14	78	0 10 2
36.35	52	1 5 4
49.64	48	2 0 0

Crystal structure
a b c (Å): 3.6732 26.7600 17.1110
angles (deg): 90.00 90.00 90.00
Space group Cmc2_1 (No. 36)
Inequivalent atoms, fractional coordinates:
Pm: 0.0000 0.0085 0.0000
Pm: 0.0000 0.0412 0.2895
Pm: 0.0000 0.1552 0.7793
Pm: 0.0000 0.1981 0.4179
Sc: 0.0000 0.1605 0.1173
Sc: 0.0000 0.2932 0.0889
Sc: 0.0000 0.3521 0.7685
Sc: 0.0000 0.3795 0.4739
Sc: 0.0000 0.4578 0.1642
Tl: 0.0000 0.1175 0.5875
Tl: 0.0000 0.2089 0.9593
Tl: 0.0000 0.2423 0.2423
Tl: 0.0000 0.4075 0.9360
Tl: 0.0000 0.4320 0.6338
Tl: 0.0000 0.4436 0.3378

Record 3
Structure and theoretical X-ray diffraction stick pattern of CuMoPt2 (a cell relaxed with PBE; copper Kα).
No peak broadening, texture or thermal motion is included.

Largest 8 diffraction maxima, low angle first, 2θ from 10° to 90°:
Position (°2θ)	I (rel.)	index
22.54	16	0 0 2
32.79	13	1 1 0
40.16	100	1 1 2
46.01	17	0 0 4
47.06	32	2 0 0
67.93	21	2 0 4
81.18	13	1 1 6
82.72	25	3 1 2

Crystal structure
a b c (Å): 3.8622 3.8622 7.8902
angles (deg): 90.00 90.00 90.00
Space group I4/mmm (No. 139)
Inequivalent atoms, fractional coordinates:
Cu: 0.0000 0.0000 0.0000
Mo: 0.0000 0.0000 0.5000
Pt: 0.0000 0.5000 0.2500

Record 4
Structure and theoretical X-ray diffraction stick pattern of Tl2Fe3S4 (a cell relaxed with PBE; copper Kα).
No peak broadening, texture or thermal motion is included.

Largest 8 diffraction maxima, low angle first, 2θ from 10° to 90°:
Position (°2θ)	I (rel.)	index
25.09	66	1 2 1
26.97	32	0 0 4
31.65	100	1 2 3
36.76	32	0 4 2
37.41	31	2 0 2
42.05	21	1 2 5
49.47	25	2 4 0
54.29	18	0 4 6

Crystal structure
a b c (Å): 5.1606 10.5271 13.2239
angles (deg): 90.00 90.00 90.00
Space group Ibam (No. 72)
Inequivalent atoms, fractional coordinates:
Tl: 0.2453 0.1290 0.0000
Fe: 0.0000 0.2515 0.2500
Fe: 0.0000 0.5000 0.2500
S: 0.2498 0.1295 0.3400

Record 5
Structure and theoretical X-ray diffraction stick pattern of Pm12NdDy6 (a cell relaxed with PBE; copper Kα).
No peak broadening, texture or thermal motion is included.

Largest 8 diffraction maxima, low angle first, 2θ from 10° to 90°:
Position (°2θ)	I (rel.)	index
29.18	51	1 0 4
31.12	58	3 1 2
31.31	71	0 3 3
31.58	100	4 0 1
33.93	37	0 4 2
34.10	31	2 2 3
34.36	32	3 2 1
54.73	34	4 4 0

Crystal structure
a b c (Å): 13.4229 13.4229 12.6903
angles (deg): 90.00 90.00 120.00
Space group R-3m (No. 166, hexagonal axes)
Inequivalent atoms, fractional coordinates:
Pm: 0.0000 0.2588 0.0000
Pm: 0.0906 0.1813 0.7640
Nd: 0.0000 0.0000 0.5000
Dy: 0.0418 0.5209 0.1192

Record 6
Structure and theoretical X-ray diffraction stick pattern of Pr4AlCu3 (a cell relaxed with PBE; copper Kα).
No peak broadening, texture or thermal motion is included.

Largest 8 diffraction maxima, low angle first, 2θ from 10° to 90°:
Position (°2θ)	I (rel.)	index
24.99	44	0 1 2
30.94	20	0 0 4
31.63	100	1 1 1
33.03	57	1 0 3
36.90	31	0 1 4
38.71	35	1 1 3
39.84	29	0 2 0
52.68	30	1 2 3

Crystal structure
a b c (Å): 3.8163 4.5258 11.5618
angles (deg): 90.00 90.00 90.00
Space group Pmm2 (No. 25)
Inequivalent atoms, fractional coordinates:
Pr: 0.0000 0.0000 0.0000
Pr: 0.0000 0.5000 0.2771
Pr: 0.5000 0.0000 0.4821
Pr: 0.5000 0.5000 0.7916
Al: 0.0000 0.0000 0.6993
Cu: 0.0000 0.5000 0.5744
Cu: 0.5000 0.0000 0.1999
Cu: 0.5000 0.5000 0.0766

Record 7
Structure and theoretical X-ray diffraction stick pattern of CuH3Pd6 (a cell relaxed with PBE; copper Kα).
No peak broadening, texture or thermal motion is included.

Largest 8 diffraction maxima, low angle first, 2θ from 10° to 90°:
Position (°2θ)	I (rel.)	index
37.97	98	1 1 -2
39.24	100	4 0 -1
40.42	81	2 0 -4
40.61	46	2 1 -2
40.81	88	2 1 1
40.88	66	2 0 3
47.68	31	3 1 1
80.34	24	4 2 -1

Crystal structure
a b c (Å): 9.1847 2.7994 9.1945
angles (deg): 90.00 105.20 90.00
Space group P2_1/m (No. 11)
Inequivalent atoms, fractional coordinates:
Cu: 0.0351 0.2500 0.1359
H: 0.1754 0.2500 0.5486
H: 0.3573 0.7500 0.0735
H: 0.4974 0.7500 0.6677
Pd: 0.0921 0.7500 0.4015
Pd: 0.1744 0.7500 0.7068
Pd: 0.2258 0.2500 0.9735
Pd: 0.3110 0.7500 0.2580
Pd: 0.3818 0.2500 0.5525
Pd: 0.4667 0.7500 0.8586

Record 8
Structure and theoretical X-ray diffraction stick pattern of Y3AlNi8 (a cell relaxed with PBE; copper Kα).
No peak broadening, texture or thermal motion is included.

Largest 8 diffraction maxima, low angle first, 2θ from 10° to 90°:
Position (°2θ)	I (rel.)	index
35.92	32	1 1 0
42.39	100	2 0 2
44.37	36	0 2 4
64.55	7	1 2 8
68.99	17	2 1 10
69.03	11	3 0 6
76.09	11	0 2 16
76.19	12	2 2 0

Crystal structure
a b c (Å): 4.9979 4.9979 24.5274
angles (deg): 90.00 90.00 120.00
Space group R3m (No. 160, hexagonal axes)
Inequivalent atoms, fractional coordinates:
Y: 0.0000 0.0000 0.0000
Y: 0.0000 0.0000 0.1282
Y: 0.0000 0.0000 0.6157
Al: 0.0000 0.0000 0.4923
Ni: 0.0000 0.0000 0.3116
Ni: 0.0000 0.0000 0.8119
Ni: 0.0019 0.5010 0.5596
Ni: 0.0032 0.5016 0.0631

Record 9
Structure and theoretical X-ray diffraction stick pattern of SrZr3 (a cell relaxed with PBE; copper Kα).
No peak broadening, texture or thermal motion is included.

Largest 8 diffraction maxima, low angle first, 2θ from 10° to 90°:
Position (°2θ)	I (rel.)	index
31.03	25	1 0 1
33.10	39	0 4 0
34.23	56	0 2 2
35.28	100	1 2 1
46.00	16	1 4 1
53.73	20	1 0 3
60.54	19	1 6 1
64.58	29	1 4 3

Crystal structure
a b c (Å): 3.2883 10.8260 5.9868
angles (deg): 90.00 90.00 90.00
Space group Imm2 (No. 44)
Inequivalent atoms, fractional coordinates:
Sr: 0.0000 0.0000 0.0000
Zr: 0.0000 0.2392 0.6668
Zr: 0.0000 0.5000 0.9965

Record 10
Structure and theoretical X-ray diffraction stick pattern of Na2ErTlS4 (a cell relaxed with PBE; copper Kα).
No peak broadening, texture or thermal motion is included.

Largest 8 diffraction maxima, low angle first, 2θ from 10° to 90°:
Position (°2θ)	I (rel.)	index
13.13	100	0 0 1
26.22	19	2 0 -1
26.49	47	1 1 0
27.52	37	2 0 0
31.28	35	2 0 -2
31.71	67	1 1 1
44.47	25	1 1 -3
45.80	24	3 1 -1

Crystal structure
a b c (Å): 6.8816 3.9301 7.1480
angles (deg): 90.00 109.37 90.00
Space group P2/m (No. 10)
Inequivalent atoms, fractional coordinates:
Na: 0.0000 0.0000 0.0000
Na: 0.5000 0.5000 0.0000
Er: 0.0000 0.5000 0.5000
Tl: 0.5000 0.0000 0.5000
S: 0.2327 0.0000 0.7317
S: 0.2602 0.5000 0.2759

Record 11
Structure and theoretical X-ray diffraction stick pattern of TbRh3O6 (a cell relaxed with PBE; copper Kα).
No peak broadening, texture or thermal motion is included.

Largest 8 diffraction maxima, low angle first, 2θ from 10° to 90°:
Position (°2θ)	I (rel.)	index
30.44	100	2 2 0
32.32	91	0 2 1
35.40	23	0 4 0
36.90	41	2 0 1
52.06	59	2 4 1
60.50	15	2 6 0
61.40	28	4 2 1
64.69	23	2 2 2

Crystal structure
a b c (Å): 7.2043 10.1420 3.3071
angles (deg): 90.00 90.00 90.00
Space group Cmmm (No. 65)
Inequivalent atoms, fractional coordinates:
Tb: 0.0000 0.0000 0.0000
Rh: 0.0000 0.5000 0.0000
Rh: 0.2500 0.2500 0.5000
O: 0.0000 0.1548 0.5000
O: 0.2031 0.3689 0.0000

Record 12
Structure and theoretical X-ray diffraction stick pattern of Tb4SmAu4 (a cell relaxed with PBE; copper Kα).
No peak broadening, texture or thermal motion is included.

Largest 8 diffraction maxima, low angle first, 2θ from 10° to 90°:
Position (°2θ)	I (rel.)	index
30.57	100	1 3 0
31.39	38	1 0 2
37.06	26	1 2 2
42.06	23	3 0 2
43.23	19	1 3 2
43.77	34	4 2 0
46.62	26	3 2 2
50.84	15	1 4 2

Crystal structure
a b c (Å): 9.2489 9.2489 5.9909
angles (deg): 90.00 90.00 90.00
Space group P4_2/n (No. 86, origin choice 2)
Inequivalent atoms, fractional coordinates:
Tb: 0.0672 0.6558 0.1653
Sm: 0.2500 0.2500 0.2500
Au: 0.0368 0.6287 0.6590